Ce4Tl2Hg3: theoretical powder diffractogram (a wavelength of 1.5418 Å), based on a structure optimized by DFT (PBE).
Lines closer than 0.1° are merged.

Most intense lines, 2θ = 10–90°, in order of falling intensity:
d_spacing	two_theta	I/Imax
2.774	32.3	100
2.716	33.0	94
2.484	36.2	39
2.356	38.2	32
2.301	39.1	26
1.709	53.6	24
1.688	54.3	21
1.412	66.2	20
1.484	62.6	15
1.475	63.0	15

Structure:
abc: 5.861 5.861 9.733
angles: 107.28 107.28 50.15
Atoms (fractional coordinates):
Ce  0.022  0.022  0.355
Ce  0.332  0.332  0.097
Ce  0.668  0.668  0.903
Ce  0.978  0.978  0.645
Tl  0.319  0.319  0.757
Tl  0.681  0.681  0.243
Hg  0.000  0.000  0.000
Hg  0.345  0.345  0.434
Hg  0.655  0.655  0.566

---

Ce3Tl3Hg2: theoretical powder diffractogram (a wavelength of 1.5418 Å), based on a structure optimized by DFT (PBE).
Lines closer than 0.1° are merged.

Most intense lines, 2θ = 10–90°, in order of falling intensity:
d_spacing	two_theta	I/Imax
2.764	32.4	100
2.519	35.6	20
2.380	37.8	17
1.497	62.0	16
2.296	39.2	16
1.437	64.9	14
1.730	52.9	13
1.382	67.8	11
1.400	66.8	11
1.653	55.6	10

Structure:
abc: 19.047 4.759 5.039
angles: 90.00 105.28 90.00
Atoms (fractional coordinates):
Ce  0.000  0.000  0.000
Ce  0.136  0.000  0.637
Ce  0.364  0.500  0.363
Ce  0.500  0.500  0.000
Ce  0.636  0.500  0.637
Ce  0.864  0.000  0.363
Tl  0.000  0.500  0.500
Tl  0.129  0.500  0.129
Tl  0.371  0.000  0.871
Tl  0.500  0.000  0.500
Tl  0.629  0.000  0.129
Tl  0.871  0.500  0.871
Hg  0.247  0.000  0.247
Hg  0.253  0.500  0.753
Hg  0.747  0.500  0.247
Hg  0.753  0.000  0.753

---

Ce2TlHg6: theoretical powder diffractogram (a wavelength of 1.5418 Å), based on a structure optimized by DFT (PBE).
Lines closer than 0.1° are merged.

Most intense lines, 2θ = 10–90°, in order of falling intensity:
d_spacing	two_theta	I/Imax
2.585	34.7	100
2.688	33.3	92
1.512	61.3	32
1.863	48.9	32
1.409	66.3	31
2.049	44.2	19
1.493	62.2	19
1.116	87.4	16
1.165	82.9	14
3.361	26.5	12

Structure:
abc: 8.955 8.955 3.361
angles: 90.00 90.00 120.00
Atoms (fractional coordinates):
Ce  0.333  0.667  0.000
Ce  0.667  0.333  0.000
Tl  0.000  0.000  0.000
Hg  0.000  0.333  0.500
Hg  0.000  0.667  0.500
Hg  0.333  0.000  0.500
Hg  0.333  0.333  0.500
Hg  0.667  0.000  0.500
Hg  0.667  0.667  0.500

---

CeTm2Hg5: theoretical powder diffractogram (a wavelength of 1.5418 Å), based on a structure optimized by DFT (PBE).
Lines closer than 0.1° are merged.

Most intense lines, 2θ = 10–90°, in order of falling intensity:
d_spacing	two_theta	I/Imax
2.598	34.5	100
2.626	34.1	54
1.511	61.4	39
1.857	49.1	20
1.494	62.1	16
1.299	72.8	10
1.174	82.1	9
1.172	82.3	9
1.818	50.2	8
1.313	71.9	6

Structure:
abc: 5.252 5.252 14.540
angles: 90.00 90.00 90.00
Atoms (fractional coordinates):
Ce  0.000  0.000  0.000
Ce  0.500  0.500  0.500
Tm  0.000  0.000  0.267
Tm  0.000  0.000  0.733
Tm  0.500  0.500  0.233
Tm  0.500  0.500  0.767
Hg  0.000  0.000  0.500
Hg  0.000  0.500  0.130
Hg  0.000  0.500  0.370
Hg  0.000  0.500  0.630
Hg  0.000  0.500  0.870
Hg  0.500  0.000  0.130
Hg  0.500  0.000  0.370
Hg  0.500  0.000  0.630
Hg  0.500  0.000  0.870
Hg  0.500  0.500  0.000

---

Ce6ZnHg5: theoretical powder diffractogram (a wavelength of 1.5418 Å), based on a structure optimized by DFT (PBE).
Lines closer than 0.1° are merged.

Most intense lines, 2θ = 10–90°, in order of falling intensity:
d_spacing	two_theta	I/Imax
2.613	34.3	100
2.482	36.2	83
2.662	33.7	72
2.817	31.8	45
2.560	35.1	41
1.402	66.7	37
2.439	36.8	33
1.649	55.8	33
2.882	31.0	23
1.556	59.4	21

Structure:
abc: 8.874 8.874 5.665
angles: 102.23 102.23 44.78
Atoms (fractional coordinates):
Ce  0.075  0.600  0.237
Ce  0.213  0.787  0.000
Ce  0.400  0.925  0.763
Ce  0.600  0.075  0.237
Ce  0.787  0.213  0.000
Ce  0.925  0.400  0.763
Zn  0.000  0.000  0.500
Hg  0.173  0.173  0.281
Hg  0.337  0.337  0.738
Hg  0.500  0.500  0.500
Hg  0.663  0.663  0.262
Hg  0.827  0.827  0.719

---

CeZnHg3: theoretical powder diffractogram (a wavelength of 1.5418 Å), based on a structure optimized by DFT (PBE).
Lines closer than 0.1° are merged.

Most intense lines, 2θ = 10–90°, in order of falling intensity:
d_spacing	two_theta	I/Imax
2.774	32.3	100
2.702	33.1	50
2.650	33.8	29
2.406	37.4	28
1.922	47.3	28
2.458	36.6	26
2.164	41.7	21
2.925	30.6	18
2.150	42.0	17
2.439	36.9	17

Structure:
abc: 13.065 13.065 4.924
angles: 97.74 97.74 16.92
Atoms (fractional coordinates):
Ce  0.082  0.082  0.308
Ce  0.918  0.918  0.692
Zn  0.369  0.369  0.170
Zn  0.631  0.631  0.830
Hg  0.208  0.208  0.851
Hg  0.312  0.312  0.643
Hg  0.471  0.471  0.229
Hg  0.529  0.529  0.771
Hg  0.688  0.688  0.357
Hg  0.792  0.792  0.149

---

Ce2Zn2Hg: theoretical powder diffractogram (a wavelength of 1.5418 Å), based on a structure optimized by DFT (PBE).
Lines closer than 0.1° are merged.

Most intense lines, 2θ = 10–90°, in order of falling intensity:
d_spacing	two_theta	I/Imax
2.734	32.8	100
3.722	23.9	32
2.112	42.8	23
2.390	37.6	22
3.330	26.8	16
3.540	25.2	16
1.863	48.9	14
1.438	64.9	14
1.469	63.3	13
1.896	48.0	13

Structure:
abc: 4.780 7.443 7.455
angles: 90.00 90.00 90.00
Atoms (fractional coordinates):
Ce  0.000  0.000  0.233
Ce  0.000  0.000  0.767
Ce  0.500  0.500  0.233
Ce  0.500  0.500  0.767
Zn  0.000  0.334  0.000
Zn  0.000  0.666  0.000
Zn  0.500  0.166  0.000
Zn  0.500  0.834  0.000
Hg  0.000  0.500  0.500
Hg  0.500  0.000  0.500

---

Ce5Zn2Hg: theoretical powder diffractogram (a wavelength of 1.5418 Å), based on a structure optimized by DFT (PBE).
Lines closer than 0.1° are merged.

Most intense lines, 2θ = 10–90°, in order of falling intensity:
d_spacing	two_theta	I/Imax
2.534	35.4	100
2.606	34.4	65
2.733	32.8	52
2.330	38.6	41
2.799	32.0	37
2.632	34.1	33
4.349	20.4	26
1.852	49.2	23
1.908	47.7	23
3.344	26.7	20

Structure:
abc: 6.291 6.291 13.375
angles: 90.00 90.00 131.05
Atoms (fractional coordinates):
Ce  0.063  0.937  0.750
Ce  0.116  0.884  0.019
Ce  0.116  0.884  0.481
Ce  0.418  0.582  0.070
Ce  0.418  0.582  0.430
Ce  0.582  0.418  0.570
Ce  0.582  0.418  0.930
Ce  0.884  0.116  0.519
Ce  0.884  0.116  0.981
Ce  0.937  0.063  0.250
Zn  0.327  0.673  0.650
Zn  0.327  0.673  0.850
Zn  0.673  0.327  0.150
Zn  0.673  0.327  0.350
Hg  0.234  0.766  0.250
Hg  0.766  0.234  0.750